Theoretical X-ray diffraction stick pattern
Compound: SrNdV4O12
Radiation: Cu Kα, 1.54184 Å
Structure: a DFT-relaxed cell (GGA+U, Alexandria)
Intensities are scaled so that the largest is 1000.

Principal peaks in the range 2θ = 10–80°, sorted by position:
Position (°2θ)  I_rel
19.73  1000
30.43  436
31.40  479
32.59  210
35.46  280
36.62  160
40.12  224
41.67  152
49.75  171
51.90  159

Structure:
```
SrNdV4O12
1.0
7.334 0.000 0.000
0.000 3.498 4.908
0.000 -3.498 4.908
Sr Nd V O
1 1 4 12
direct
0.000 0.000 0.000
0.500 0.450 0.450
0.252 0.481 0.968
0.252 0.968 0.481
0.748 0.481 0.968
0.748 0.968 0.481
0.000 0.005 0.439
0.000 0.439 0.005
0.211 0.794 0.794
0.268 0.288 0.288
0.282 0.319 0.787
0.282 0.787 0.319
0.500 0.010 0.554
0.500 0.554 0.010
0.718 0.319 0.787
0.718 0.787 0.319
0.732 0.288 0.288
0.789 0.794 0.794
```